No. 1
For Y3GaPt, a structure optimized by DFT (PBE) gives the computed XRD peak list in this record (Cu Kα (λ = 1.5418 Å)).

Structure:
```
5
Lattice="5.4002 0.0000 0.0000 0.0000 5.4002 0.0000 0.0000 0.0000 5.4002" Properties=species:S:1:pos:R:3 pbc="T T T"
Y 0.0000 0.0000 2.7001
Y 0.0000 2.7001 0.0000
Y 2.7001 0.0000 0.0000
Ga 2.7001 2.7001 2.7001
Pt 0.0000 0.0000 0.0000
```

Largest 10 diffraction maxima, in order of falling intensity, 10 to 80 degrees two-theta:
- 2θ 33.2, intensity 100
- 2θ 16.4, intensity 84
- 2θ 47.6, intensity 72
- 2θ 23.3, intensity 50
- 2θ 37.2, intensity 44
- 2θ 79.4, intensity 31
- 2θ 59.3, intensity 25
- 2θ 40.9, intensity 24
- 2θ 50.7, intensity 23
- 2θ 28.6, intensity 17

=====

No. 2
For NiTe3Pd3, a structure optimized by DFT (PBE) gives the computed XRD peak list in this record (Cu Kα (λ = 1.5418 Å)).

Structure:
```
28
Lattice="8.1462 -3.1306 0.0000 8.1462 3.1306 0.0000 0.0000 0.0000 10.9334" Properties=species:S:1:pos:R:3 pbc="T T T"
Ni 1.3169 0.0000 0.0000
Ni 6.8293 0.0000 5.4667
Ni 9.4631 0.0000 5.4667
Ni 14.9755 0.0000 0.0000
Te 5.2978 1.7936 1.4561
Te 5.2978 1.3370 6.9228
Te 8.1462 1.7111 9.2829
Te 8.1462 1.4196 3.8163
Te 10.9946 1.7936 1.4561
Te 10.9946 1.3370 6.9228
Te 5.2978 -1.3370 4.0106
Te 5.2978 -1.7936 9.4772
Te 8.1462 -1.4196 7.1171
Te 8.1462 -1.7111 1.6504
Te 10.9946 -1.3370 4.0106
Te 10.9946 -1.7936 9.4772
Pd 2.5528 0.8519 6.6869
Pd 8.1462 2.2136 6.6015
Pd 5.5934 0.8519 9.7131
Pd 2.5528 -0.8519 4.2465
Pd 8.1462 0.9170 1.1349
Pd 5.5934 -0.8519 1.2202
Pd 10.6990 0.8519 9.7131
Pd 8.1462 -0.9170 9.7985
Pd 13.7396 0.8519 6.6869
Pd 10.6990 -0.8519 1.2202
Pd 8.1462 -2.2136 4.3318
Pd 13.7396 -0.8519 4.2465
```

Largest 10 diffraction maxima, in order of falling intensity, 10 to 80 degrees two-theta:
- 2θ 33.0, intensity 100
- 2θ 44.2, intensity 97
- 2θ 47.2, intensity 92
- 2θ 32.8, intensity 92
- 2θ 49.7, intensity 68
- 2θ 39.6, intensity 63
- 2θ 31.7, intensity 46
- 2θ 44.0, intensity 45
- 2θ 28.5, intensity 45
- 2θ 37.1, intensity 36

=====

No. 3
For Pa2B10Ir, a structure optimized by DFT (PBE) gives the computed XRD peak list in this record (Cu Kα (λ = 1.5418 Å)).

Structure:
```
26
Lattice="5.6578 0.0000 0.0000 0.0000 11.3088 0.0000 0.0000 0.0000 4.1474" Properties=species:S:1:pos:R:3 pbc="T T T"
Pa 1.1362 1.5640 0.0000
Pa 1.6927 7.2183 0.0000
Pa 3.9651 4.0904 0.0000
Pa 4.5216 9.7448 0.0000
B 0.2939 3.4641 2.0737
B 0.6603 10.8259 2.0737
B 0.7770 9.0713 2.0737
B 1.2262 4.3026 0.8120
B 1.2262 4.3026 3.3354
B 1.6027 9.9570 0.8120
B 1.6027 9.9570 3.3354
B 2.0519 3.4169 2.0737
B 2.1686 5.1715 2.0737
B 2.5350 9.1185 2.0737
B 3.1228 2.1903 2.0737
B 3.4892 6.1372 2.0737
B 3.6059 7.8919 2.0737
B 4.0551 1.3517 0.8120
B 4.0551 1.3517 3.3354
B 4.4316 7.0061 0.8120
B 4.4316 7.0061 3.3354
B 4.8808 2.2375 2.0737
B 4.9975 0.4829 2.0737
B 5.3639 7.8447 2.0737
Ir 0.0000 5.6544 2.0737
Ir 2.8289 0.0000 2.0737
```

Largest 10 diffraction maxima, in order of falling intensity, 10 to 80 degrees two-theta:
- 2θ 38.5, intensity 100
- 2θ 31.1, intensity 88
- 2θ 22.2, intensity 72
- 2θ 27.8, intensity 44
- 2θ 45.4, intensity 27
- 2θ 49.5, intensity 25
- 2θ 28.5, intensity 25
- 2θ 26.7, intensity 22
- 2θ 43.6, intensity 21
- 2θ 59.1, intensity 19

=====

No. 4
For Na3IO, a structure optimized by DFT (PBE) gives the computed XRD peak list in this record (Cu Kα (λ = 1.5418 Å)).

Structure:
```
10
Lattice="4.2962 0.0000 0.0000 -2.1481 3.7206 0.0000 0.0000 0.0000 16.4730" Properties=species:S:1:pos:R:3 pbc="T T T"
Na 0.0000 0.0000 4.1183
Na 0.0000 0.0000 12.3548
Na 0.0000 2.4804 1.9621
Na 0.0000 2.4804 6.2744
Na 2.1481 1.2402 10.1986
Na 2.1481 1.2402 14.5109
I 0.0000 0.0000 0.0000
I 0.0000 0.0000 8.2365
O 0.0000 2.4804 4.1183
O 2.1481 1.2402 12.3548
```

Largest 10 diffraction maxima, in order of falling intensity, 10 to 80 degrees two-theta:
- 2θ 32.4, intensity 100
- 2θ 26.3, intensity 73
- 2θ 10.7, intensity 60
- 2θ 23.9, intensity 54
- 2θ 42.1, intensity 40
- 2θ 40.8, intensity 25
- 2θ 21.6, intensity 24
- 2θ 54.1, intensity 23
- 2θ 62.5, intensity 23
- 2θ 70.8, intensity 20

=====

No. 5
For GaAg4Sn, a structure optimized by DFT (PBE) gives the computed XRD peak list in this record (Cu Kα (λ = 1.5418 Å)).

Structure:
```
12
Lattice="-2.4372 8.8380 2.6732 2.4372 -8.8380 2.6732 2.4372 8.8380 -2.6732" Properties=species:S:1:pos:R:3 pbc="T T T"
Ga 0.0000 0.0000 0.0000
Ga 0.0000 8.8380 0.0000
Ag 2.4372 -6.0558 2.2386
Ag 2.4372 1.4184 0.3864
Ag 2.4372 -2.7823 2.2386
Ag 2.4372 7.4196 0.3864
Ag 0.0000 1.4184 2.2868
Ag 0.0000 11.6203 0.4346
Ag 0.0000 7.4196 2.2868
Ag 0.0000 14.8938 0.4346
Sn 2.4372 4.4190 0.2877
Sn 0.0000 4.4190 2.3855
```

Largest 10 diffraction maxima, in order of falling intensity, 10 to 80 degrees two-theta:
- 2θ 39.5, intensity 100
- 2θ 36.9, intensity 38
- 2θ 38.8, intensity 33
- 2θ 33.5, intensity 22
- 2θ 68.2, intensity 19
- 2θ 30.3, intensity 14
- 2θ 50.7, intensity 13
- 2θ 70.7, intensity 11
- 2θ 58.0, intensity 10
- 2θ 75.4, intensity 8

=====

No. 6
For NaIn3Te4, a structure optimized by DFT (PBE) gives the computed XRD peak list in this record (Cu Kα (λ = 1.5418 Å)).

Structure:
```
8
Lattice="-3.6937 3.6937 5.9841 3.6937 -3.6937 5.9841 3.6937 3.6937 -5.9841" Properties=species:S:1:pos:R:3 pbc="T T T"
Na 0.0000 0.0000 0.0000
In 3.6937 0.0000 2.9920
In 0.0000 0.0000 5.9841
In 0.0000 3.6937 2.9920
Te 1.9978 1.9978 -1.5418
Te 1.6959 -1.6959 7.5259
Te 1.6959 1.6959 4.4422
Te -1.6959 1.6959 7.5259
```

Largest 10 diffraction maxima, in order of falling intensity, 10 to 80 degrees two-theta:
- 2θ 22.6, intensity 100
- 2θ 38.7, intensity 47
- 2θ 41.5, intensity 37
- 2θ 34.3, intensity 32
- 2θ 64.4, intensity 17
- 2θ 14.1, intensity 14
- 2θ 48.9, intensity 12
- 2θ 61.1, intensity 12
- 2θ 49.3, intensity 10
- 2θ 72.9, intensity 9

=====

No. 7
For Ac4GeP3, a structure optimized by DFT (PBE) gives the computed XRD peak list in this record (Cu Kα (λ = 1.5418 Å)).

Structure:
```
8
Lattice="6.3416 0.0000 0.0000 0.0000 6.3416 0.0000 0.0000 0.0000 6.3416" Properties=species:S:1:pos:R:3 pbc="T T T"
Ac 0.0000 0.0000 0.0000
Ac 0.0000 3.1708 3.1708
Ac 3.1708 0.0000 3.1708
Ac 3.1708 3.1708 0.0000
Ge 3.1708 3.1708 3.1708
P 0.0000 0.0000 3.1708
P 0.0000 3.1708 0.0000
P 3.1708 0.0000 0.0000
```

Largest 10 diffraction maxima, in order of falling intensity, 10 to 80 degrees two-theta:
- 2θ 28.1, intensity 100
- 2θ 24.3, intensity 86
- 2θ 40.2, intensity 77
- 2θ 47.6, intensity 46
- 2θ 65.9, intensity 37
- 2θ 49.8, intensity 28
- 2θ 73.1, intensity 27
- 2θ 64.0, intensity 20
- 2θ 78.3, intensity 15
- 2θ 58.2, intensity 13

=====

No. 8
For SrPu4Ge4, a structure optimized by DFT (PBE) gives the computed XRD peak list in this record (Cu Kα (λ = 1.5418 Å)).

Structure:
```
18
Lattice="9.2369 0.0000 0.0000 0.0000 9.2369 0.0000 0.0000 0.0000 5.5408" Properties=species:S:1:pos:R:3 pbc="T T T"
Sr 2.3092 2.3092 1.3852
Sr 6.9276 6.9276 4.1556
Pu 1.0272 7.8283 3.4112
Pu 1.4085 5.6456 0.6408
Pu 3.2099 8.2096 0.6408
Pu 3.5912 6.0270 3.4112
Pu 5.6456 3.2099 2.1296
Pu 6.0270 1.0272 4.9000
Pu 7.8283 3.5912 4.9000
Pu 8.2096 1.4085 2.1296
Ge 0.1045 1.0609 4.8405
Ge 1.0609 4.5140 3.4707
Ge 3.5575 0.1045 3.4707
Ge 4.5140 3.5575 4.8405
Ge 4.7229 5.6793 0.7003
Ge 5.6793 9.1324 2.0701
Ge 8.1760 4.7229 2.0701
Ge 9.1324 8.1760 0.7003
```

Largest 10 diffraction maxima, in order of falling intensity, 10 to 80 degrees two-theta:
- 2θ 13.6, intensity 100
- 2θ 33.8, intensity 92
- 2θ 31.8, intensity 84
- 2θ 30.6, intensity 78
- 2θ 38.7, intensity 69
- 2θ 34.7, intensity 53
- 2θ 26.9, intensity 53
- 2θ 44.0, intensity 29
- 2θ 60.2, intensity 28
- 2θ 52.5, intensity 27

=====

No. 9
For Ca4TcPt, a structure optimized by DFT (PBE) gives the computed XRD peak list in this record (Cu Kα (λ = 1.5418 Å)).

Structure:
```
6
Lattice="0.0000 4.2650 4.2650 4.2650 0.0000 4.2650 4.2650 4.2650 0.0000" Properties=species:S:1:pos:R:3 pbc="T T T"
Ca 1.0689 1.0689 1.0689
Ca 3.1961 3.1961 1.0689
Ca 3.1961 1.0689 3.1961
Ca 1.0689 3.1961 3.1961
Tc 4.2650 4.2650 4.2650
Pt 6.3975 6.3975 6.3975
```

Largest 10 diffraction maxima, in order of falling intensity, 10 to 80 degrees two-theta:
- 2θ 34.9, intensity 100
- 2θ 29.6, intensity 74
- 2θ 18.0, intensity 34
- 2θ 56.0, intensity 33
- 2θ 52.6, intensity 30
- 2θ 61.5, intensity 22
- 2θ 69.7, intensity 13
- 2θ 36.5, intensity 12
- 2θ 72.7, intensity 11
- 2θ 46.4, intensity 10

=====

No. 10
For Tl8Hg6Sb, a structure optimized by DFT (PBE) gives the computed XRD peak list in this record (Cu Kα (λ = 1.5418 Å)).

Structure:
```
15
Lattice="5.0521 2.9169 5.1824 -5.0521 2.9169 5.1824 0.0000 -5.8337 5.1824" Properties=species:S:1:pos:R:3 pbc="T T T"
Tl 0.0000 0.0000 1.5827
Tl -0.3852 -2.1018 4.8640
Tl -1.6276 1.3845 4.8640
Tl -2.0128 -0.7173 10.6832
Tl 2.0129 0.7173 4.8640
Tl 1.6276 -1.3845 10.6832
Tl 0.3852 2.1018 10.6832
Tl 0.0000 0.0000 13.9645
Hg -2.2769 -2.2209 7.5983
Hg -3.0618 0.8614 7.9489
Hg 0.7849 -3.0823 7.9489
Hg -0.7849 3.0823 7.5983
Hg 3.0618 -0.8614 7.5983
Hg 2.2769 2.2209 7.9489
Sb 0.0000 0.0000 7.7736
```

Largest 10 diffraction maxima, in order of falling intensity, 10 to 80 degrees two-theta:
- 2θ 29.3, intensity 100
- 2θ 30.8, intensity 44
- 2θ 35.6, intensity 32
- 2θ 35.3, intensity 30
- 2θ 47.6, intensity 25
- 2θ 38.9, intensity 22
- 2θ 30.5, intensity 20
- 2θ 27.6, intensity 20
- 2θ 39.1, intensity 17
- 2θ 37.5, intensity 16

=====

No. 11
For Ba3Mg7Au4, a structure optimized by DFT (PBE) gives the computed XRD peak list in this record (Cu Kα (λ = 1.5418 Å)).

Structure:
```
14
Lattice="8.8491 -2.3520 0.0000 8.8491 2.3520 0.0000 -6.0860 0.0000 8.9923" Properties=species:S:1:pos:R:3 pbc="T T T"
Ba 0.0000 0.0000 0.0000
Ba 3.6102 0.0000 2.6524
Ba 8.0020 0.0000 6.3399
Mg -3.0430 0.0000 4.4962
Mg 0.2736 0.0000 3.8339
Mg -0.3068 0.0000 8.8632
Mg 4.4412 0.0000 6.3077
Mg 7.1709 0.0000 2.6846
Mg 11.9189 0.0000 0.1291
Mg 11.3385 0.0000 5.1584
Au -3.0249 0.0000 7.4610
Au 1.6351 0.0000 6.4790
Au 9.9770 0.0000 2.5133
Au 14.6370 0.0000 1.5313
```

Largest 10 diffraction maxima, in order of falling intensity, 10 to 80 degrees two-theta:
- 2θ 31.8, intensity 100
- 2θ 31.2, intensity 86
- 2θ 23.7, intensity 74
- 2θ 24.2, intensity 67
- 2θ 19.8, intensity 64
- 2θ 38.3, intensity 59
- 2θ 60.2, intensity 45
- 2θ 26.3, intensity 43
- 2θ 38.5, intensity 42
- 2θ 28.5, intensity 41

=====

No. 12
For Tb5Tm2Cd, a structure optimized by DFT (PBE) gives the computed XRD peak list in this record (Cu Kα (λ = 1.5418 Å)).

Structure:
```
16
Lattice="3.5747 0.0000 0.0000 1.7860 7.2550 0.0000 0.0002 0.1261 18.5336" Properties=species:S:1:pos:R:3 pbc="T T T"
Tb 0.8930 3.2627 1.8002
Tb 0.8987 2.4152 5.1770
Tb 0.8883 0.6242 12.3353
Tb 2.6778 6.9729 15.6431
Tb 2.6816 4.1527 7.6636
Tb 2.6794 3.2284 10.8700
Tb 2.6832 0.4082 2.8905
Tb 4.4727 6.7569 6.1983
Tb 4.4622 4.9659 13.3566
Tb 4.4679 4.1184 16.7334
Tm 0.8948 1.3620 8.5868
Tm 2.6809 5.8943 0.4389
Tm 2.6801 1.4868 18.0948
Tm 4.4662 6.0191 9.9468
Cd 2.6847 5.0193 3.9970
Cd 2.6762 2.3618 14.5366
```

Largest 10 diffraction maxima, in order of falling intensity, 10 to 80 degrees two-theta:
- 2θ 31.4, intensity 100
- 2θ 35.5, intensity 36
- 2θ 53.3, intensity 22
- 2θ 61.2, intensity 15
- 2θ 38.4, intensity 14
- 2θ 61.1, intensity 14
- 2θ 65.1, intensity 11
- 2θ 51.1, intensity 7
- 2θ 50.9, intensity 6
- 2θ 65.7, intensity 6

=====

- Number 2 is which compound?
  NiTe3Pd3